[1]
# HgPd6W
Simulated PXRD pattern, CuKα. Input: DFT lattice parameters and positions (PBE).

Structure:
```
HgPd6W
1.0
3.9727 0.0000 0.0000
0.0000 3.9727 0.0000
0.0000 0.0000 8.0199
Hg Pd W
1 6 1
Cartesian
0.0000 0.0000 0.0000
0.0000 1.9863 2.1446
0.0000 1.9863 5.8752
1.9863 0.0000 2.1446
1.9863 0.0000 5.8752
1.9863 1.9863 0.0000
1.9863 1.9863 4.0099
0.0000 0.0000 4.0099
```

Peak list (6 most intense, 2θ from 10° to 90°, in order of falling intensity)
2theta  intensity
39.15  100
45.67  33
80.04  25
66.23  20
45.23  16
79.39  11

[2]
# Li2TlIrSe4
Simulated PXRD pattern, CuKα. Input: DFT lattice parameters and positions (PBE).

Structure:
```
Li2TlIrSe4
1.0
-2.9917 2.9917 5.9822
2.9917 -2.9917 5.9822
2.9917 2.9917 -5.9822
Li Tl Ir Se
2 1 1 4
Cartesian
0.0000 0.0000 0.0000
0.0000 2.9917 2.9911
0.0000 0.0000 5.9822
2.9917 0.0000 2.9911
1.2526 1.4554 -1.6949
4.5280 1.2526 1.6949
1.7391 1.5363 4.2873
-1.5363 1.7391 7.6771
```

Peak list (6 most intense, 2θ from 10° to 90°, in order of falling intensity)
2theta  intensity
25.79  100
16.57  79
42.75  71
50.60  44
34.34  31
26.87  30

[3]
# SmNiSn
Simulated PXRD pattern, CuKα. Input: DFT lattice parameters and positions (PBE).

Structure:
```
SmNiSn
1.0
7.3400 0.0000 0.0000
0.0000 4.5361 0.0000
0.0000 0.0000 7.6995
Sm Ni Sn
4 4 4
Cartesian
0.1154 1.1340 1.5409
3.5546 3.4021 5.3907
3.7854 1.1340 2.3088
7.2246 3.4021 6.1586
1.4336 3.4021 3.1906
2.2364 1.1340 7.0403
5.1036 3.4021 0.6591
5.9064 1.1340 4.5089
1.3757 1.1340 4.5204
2.2943 3.4021 0.6706
5.0457 1.1340 7.0289
5.9643 3.4021 3.1791
```

Peak list (6 most intense, 2θ from 10° to 90°, in order of falling intensity)
2theta  intensity
33.50  100
32.86  52
40.38  51
39.74  40
33.74  37
38.61  27

[4]
# TaCdS2
Simulated PXRD pattern, CuKα. Input: DFT lattice parameters and positions (PBE).

Structure:
```
TaCdS2
1.0
3.2953 0.0000 0.0000
-1.6476 2.8538 0.0000
0.0000 0.0000 17.5775
Ta Cd S
2 2 4
Cartesian
0.0000 1.9025 4.3944
1.6476 0.9513 13.1831
0.0000 0.0000 0.0000
0.0000 0.0000 8.7887
0.0000 1.9025 11.6037
0.0000 1.9025 14.7626
1.6476 0.9513 2.8149
1.6476 0.9513 5.9738
```

Peak list (6 most intense, 2θ from 10° to 90°, in order of falling intensity)
2theta  intensity
33.00  100
20.21  73
40.72  51
10.06  48
34.97  47
55.80  29